No. 1
For La6MgPb5, DFT lattice parameters and positions (PBE) gives the calculated PXRD pattern in this record (copper Kα).
Peak positions follow from Bragg's law for the DFT cell and can differ from measured ones.

Peak list (10 most intense, 10° ≤ 2θ ≤ 90°, sorted by position)
Position (°2θ), d [Å], I/Imax
29.8, 2.994, 31
30.0, 2.978, 32
32.8, 2.731, 100
42.8, 2.111, 24
54.9, 1.673, 22
55.1, 1.668, 23
60.3, 1.535, 9
68.7, 1.366, 11
72.1, 1.310, 10
84.3, 1.149, 9

Crystal structure
```
La6MgPb5
1.0
-2.9778 3.5812 8.9812
2.9778 -3.5812 8.9812
2.9778 3.5812 -8.9812
La Mg Pb
6 1 5
direct
0.0700 0.3289 0.7411 La
0.2293 0.0000 0.2293 La
0.4122 0.6711 0.7411 La
0.5878 0.3289 0.2589 La
0.7707 0.0000 0.7707 La
0.9300 0.6711 0.2589 La
0.5000 0.5000 0.0000 Mg
0.0000 0.5000 0.5000 Pb
0.1692 0.1692 0.0000 Pb
0.3439 0.8439 0.5000 Pb
0.6561 0.1561 0.5000 Pb
0.8308 0.8308 0.0000 Pb
```

---

No. 2
For MgScF4, DFT lattice parameters and positions (PBE) gives the calculated PXRD pattern in this record (copper Kα).
Peak positions follow from Bragg's law for the DFT cell and can differ from measured ones.

Peak list (10 most intense, 10° ≤ 2θ ≤ 90°, sorted by position)
Position (°2θ), d [Å], I/Imax
19.1, 4.638, 100
37.8, 2.377, 69
38.8, 2.322, 35
50.5, 1.807, 28
53.8, 1.703, 11
54.0, 1.699, 10
56.6, 1.626, 22
57.9, 1.591, 9
61.7, 1.503, 9
72.5, 1.303, 10

Crystal structure
```
MgScF4
1.0
4.6808 0.0000 0.0000
0.0000 3.0053 0.0000
-0.7854 0.0000 5.7985
Mg Sc F
1 1 4
direct
0.0000 0.0000 0.0000 Mg
0.0000 0.5000 0.5000 Sc
0.2007 0.5000 0.8587 F
0.2374 0.0000 0.3174 F
0.7626 0.0000 0.6826 F
0.7993 0.5000 0.1413 F
```

---

No. 3
For InCo3Ru, DFT lattice parameters and positions (PBE) gives the calculated PXRD pattern in this record (copper Kα).
Peak positions follow from Bragg's law for the DFT cell and can differ from measured ones.

Peak list (10 most intense, 10° ≤ 2θ ≤ 90°, sorted by position)
Position (°2θ), d [Å], I/Imax
28.0, 3.182, 80
34.5, 2.598, 50
40.1, 2.250, 100
49.6, 1.837, 33
58.0, 1.591, 64
65.6, 1.423, 14
69.2, 1.357, 17
72.8, 1.299, 21
79.7, 1.203, 16
86.5, 1.125, 10

Crystal structure
```
InCo3Ru
1.0
4.5002 0.0000 0.0000
0.0000 4.5002 0.0000
0.0000 0.0000 4.5002
In Co Ru
1 3 1
direct
0.0000 0.0000 0.0000 In
0.0000 0.5000 0.5000 Co
0.5000 0.0000 0.5000 Co
0.5000 0.5000 0.0000 Co
0.5000 0.5000 0.5000 Ru
```

---

No. 4
For TbPrYTm2, DFT lattice parameters and positions (PBE) gives the calculated PXRD pattern in this record (copper Kα).
Peak positions follow from Bragg's law for the DFT cell and can differ from measured ones.

Peak list (10 most intense, 10° ≤ 2θ ≤ 90°, sorted by position)
Position (°2θ), d [Å], I/Imax
15.4, 5.748, 56
26.4, 3.379, 41
28.1, 3.176, 45
29.3, 3.050, 54
31.1, 2.874, 66
32.9, 2.726, 100
33.1, 2.707, 45
35.9, 2.503, 60
40.0, 2.253, 50
45.9, 1.978, 67

Crystal structure
```
TbPrYTm2
1.0
4.1778 -5.7477 0.0000
4.1778 5.7477 0.0000
0.0000 0.0000 7.1959
Tb Pr Y Tm
2 2 2 4
direct
0.0096 0.9904 0.7500 Tb
0.9904 0.0096 0.2500 Tb
0.2777 0.7223 0.7500 Pr
0.7223 0.2777 0.2500 Pr
0.2729 0.7271 0.2500 Y
0.7271 0.2729 0.7500 Y
0.3113 0.3113 0.0000 Tm
0.3113 0.3113 0.5000 Tm
0.6887 0.6887 0.0000 Tm
0.6887 0.6887 0.5000 Tm
```

---

No. 5
For Na2In2Br7, DFT lattice parameters and positions (PBE) gives the calculated PXRD pattern in this record (copper Kα).
Peak positions follow from Bragg's law for the DFT cell and can differ from measured ones.

Peak list (10 most intense, 10° ≤ 2θ ≤ 90°, sorted by position)
Position (°2θ), d [Å], I/Imax
13.9, 6.373, 44
18.4, 4.828, 42
18.7, 4.757, 64
18.9, 4.697, 100
25.2, 3.531, 27
28.7, 3.107, 71
36.2, 2.483, 63
39.8, 2.264, 33
42.6, 2.124, 28
45.5, 1.995, 29

Crystal structure
```
Na2In2Br7
1.0
4.9507 -6.3731 0.0000
4.9507 6.3731 0.0000
-1.5786 0.0000 6.9495
Na In Br
2 2 7
direct
0.1927 0.8073 0.0000 Na
0.8073 0.1927 0.0000 Na
0.2531 0.2531 0.6032 In
0.7469 0.7469 0.3968 In
0.0765 0.0765 0.2617 Br
0.0799 0.4276 0.8034 Br
0.4276 0.0799 0.8034 Br
0.5000 0.5000 0.5000 Br
0.5724 0.9201 0.1966 Br
0.9201 0.5724 0.1966 Br
0.9235 0.9235 0.7383 Br
```

---

No. 6
For AcInH6Rh3, DFT lattice parameters and positions (PBE) gives the calculated PXRD pattern in this record (copper Kα).
Peak positions follow from Bragg's law for the DFT cell and can differ from measured ones.

Peak list (10 most intense, 10° ≤ 2θ ≤ 90°, sorted by position)
Position (°2θ), d [Å], I/Imax
24.1, 3.698, 100
25.1, 3.546, 34
29.8, 2.998, 64
31.5, 2.839, 58
35.1, 2.560, 98
38.7, 2.329, 56
40.0, 2.252, 37
43.0, 2.105, 73
66.9, 1.398, 32
75.9, 1.254, 32

Crystal structure
```
AcInH6Rh3
1.0
3.6983 2.1352 2.8388
-3.6983 2.1352 2.8388
0.0000 -4.2704 2.8388
Ac In H Rh
1 1 6 3
direct
0.0000 0.0000 0.0000 Ac
0.5884 0.5884 0.5884 In
0.0915 0.4979 0.2244 H
0.1164 0.4890 0.8728 H
0.2244 0.0915 0.4979 H
0.4890 0.8728 0.1164 H
0.4979 0.2244 0.0915 H
0.8728 0.1164 0.4890 H
0.0796 0.3974 0.5414 Rh
0.3974 0.5414 0.0796 Rh
0.5414 0.0796 0.3974 Rh
```

---

No. 7
For Sr2Li17Cu3, DFT lattice parameters and positions (PBE) gives the calculated PXRD pattern in this record (copper Kα).
Peak positions follow from Bragg's law for the DFT cell and can differ from measured ones.

Peak list (10 most intense, 10° ≤ 2θ ≤ 90°, sorted by position)
Position (°2θ), d [Å], I/Imax
11.3, 7.833, 100
15.2, 5.839, 53
17.5, 5.057, 86
26.4, 3.371, 36
28.4, 3.146, 30
34.0, 2.640, 69
35.1, 2.555, 22
35.5, 2.528, 26
38.5, 2.341, 56
49.9, 1.826, 43

Crystal structure
```
Sr2Li17Cu3
1.0
5.2807 3.0488 5.0569
-5.2807 3.0488 5.0569
0.0000 -6.0976 5.0569
Sr Li Cu
2 17 3
direct
0.1649 0.1649 0.1649 Sr
0.8351 0.8351 0.8351 Sr
0.0000 0.5000 0.5000 Li
0.1645 0.1645 0.6677 Li
0.1645 0.6677 0.1645 Li
0.2323 0.5000 0.7677 Li
0.2323 0.7677 0.5000 Li
0.3323 0.8355 0.8355 Li
0.4059 0.4059 0.4059 Li
0.5000 0.0000 0.5000 Li
0.5000 0.2323 0.7677 Li
0.5000 0.5000 0.0000 Li
0.5000 0.7677 0.2323 Li
0.5941 0.5941 0.5941 Li
0.6677 0.1645 0.1645 Li
0.7677 0.2323 0.5000 Li
0.7677 0.5000 0.2323 Li
0.8355 0.3323 0.8355 Li
0.8355 0.8355 0.3323 Li
0.0000 0.0000 0.5000 Cu
0.0000 0.5000 0.0000 Cu
0.5000 0.0000 0.0000 Cu
```

---

No. 8
For SrTcAgO4, DFT lattice parameters and positions (PBE) gives the calculated PXRD pattern in this record (copper Kα).
Peak positions follow from Bragg's law for the DFT cell and can differ from measured ones.

Peak list (10 most intense, 10° ≤ 2θ ≤ 90°, sorted by position)
Position (°2θ), d [Å], I/Imax
16.6, 5.349, 47
27.2, 3.275, 100
32.0, 2.793, 11
38.9, 2.316, 12
42.5, 2.125, 13
48.1, 1.891, 40
56.2, 1.638, 17
63.5, 1.465, 16
77.0, 1.238, 20
89.8, 1.092, 11

Crystal structure
```
SrTcAgO4
1.0
0.0000 4.6321 4.6321
4.6321 0.0000 4.6321
4.6321 4.6321 0.0000
Sr Tc Ag O
1 1 1 4
direct
0.0000 0.0000 0.0000 Sr
0.5000 0.5000 0.5000 Tc
0.2500 0.2500 0.2500 Ag
0.3892 0.3892 0.3892 O
0.3892 0.3892 0.8323 O
0.3892 0.8323 0.3892 O
0.8323 0.3892 0.3892 O
```

---

No. 9
For CrCu6Au8, DFT lattice parameters and positions (PBE) gives the calculated PXRD pattern in this record (copper Kα).
Peak positions follow from Bragg's law for the DFT cell and can differ from measured ones.

Peak list (10 most intense, 10° ≤ 2θ ≤ 90°, sorted by position)
Position (°2θ), d [Å], I/Imax
30.4, 2.943, 100
35.9, 2.500, 85
37.4, 2.406, 66
38.2, 2.358, 15
43.6, 2.078, 29
44.1, 2.053, 60
45.9, 1.977, 22
48.9, 1.862, 51
58.7, 1.573, 20
76.2, 1.250, 13

Crystal structure
```
CrCu6Au8
1.0
4.1679 2.4064 4.1559
-4.1679 2.4064 4.1559
0.0000 -4.8127 4.1559
Cr Cu Au
1 6 8
direct
0.0000 0.0000 0.0000 Cr
0.2239 0.5737 0.4312 Cu
0.4263 0.5688 0.7761 Cu
0.4312 0.2239 0.5737 Cu
0.5688 0.7761 0.4263 Cu
0.5737 0.4312 0.2239 Cu
0.7761 0.4263 0.5688 Cu
0.0784 0.3889 0.8144 Au
0.1856 0.9216 0.6111 Au
0.2262 0.2262 0.2262 Au
0.3889 0.8144 0.0784 Au
0.6111 0.1856 0.9216 Au
0.7738 0.7738 0.7738 Au
0.8144 0.0784 0.3889 Au
0.9216 0.6111 0.1856 Au
```

---

No. 10
For Tb3Dy8Tm3, DFT lattice parameters and positions (PBE) gives the calculated PXRD pattern in this record (copper Kα).
Peak positions follow from Bragg's law for the DFT cell and can differ from measured ones.

Peak list (10 most intense, 10° ≤ 2θ ≤ 90°, sorted by position)
Position (°2θ), d [Å], I/Imax
29.4, 3.040, 10
30.2, 2.963, 23
30.9, 2.890, 19
32.1, 2.785, 100
34.3, 2.615, 34
45.2, 2.006, 14
57.3, 1.609, 13
61.0, 1.520, 9
61.8, 1.502, 8
63.1, 1.473, 10

Crystal structure
```
Tb3Dy8Tm3
1.0
-2.7875 5.3489 7.4014
2.7875 -5.3489 7.4014
2.7875 5.3489 -7.4014
Tb Dy Tm
3 8 3
direct
0.0000 0.0000 0.0000 Tb
0.1806 0.6806 0.5000 Tb
0.8194 0.3194 0.5000 Tb
0.1192 0.2780 0.8412 Dy
0.2377 0.8967 0.3410 Dy
0.4369 0.2780 0.1588 Dy
0.4442 0.1033 0.3410 Dy
0.5558 0.8967 0.6590 Dy
0.5631 0.7220 0.8412 Dy
0.7623 0.1033 0.6590 Dy
0.8808 0.7220 0.1588 Dy
0.2028 0.5000 0.7028 Tm
0.5000 0.5000 0.0000 Tm
0.7972 0.5000 0.2972 Tm
```

---

No. 11
For Sc4Zn3Rh, DFT lattice parameters and positions (PBE) gives the calculated PXRD pattern in this record (copper Kα).
Peak positions follow from Bragg's law for the DFT cell and can differ from measured ones.

Peak list (10 most intense, 10° ≤ 2θ ≤ 90°, sorted by position)
Position (°2θ), d [Å], I/Imax
27.1, 3.296, 10
38.2, 2.354, 100
38.5, 2.337, 25
38.7, 2.325, 24
54.6, 1.682, 8
55.8, 1.648, 15
68.8, 1.365, 8
69.5, 1.352, 15
69.8, 1.348, 15
81.8, 1.177, 9

Crystal structure
```
Sc4Zn3Rh
1.0
3.3643 0.0000 0.0000
0.0000 4.6730 0.0000
0.0000 0.0000 9.2980
Sc Zn Rh
4 3 1
direct
0.0000 0.0000 0.0000 Sc
0.0000 0.0000 0.5000 Sc
0.0000 0.5000 0.2380 Sc
0.0000 0.5000 0.7620 Sc
0.5000 0.0000 0.2523 Zn
0.5000 0.0000 0.7477 Zn
0.5000 0.5000 0.5000 Zn
0.5000 0.5000 0.0000 Rh
```

---

No. 12
For La3PmAs3, DFT lattice parameters and positions (PBE) gives the calculated PXRD pattern in this record (copper Kα).
Peak positions follow from Bragg's law for the DFT cell and can differ from measured ones.

Peak list (10 most intense, 10° ≤ 2θ ≤ 90°, sorted by position)
Position (°2θ), d [Å], I/Imax
23.8, 3.739, 9
27.5, 3.238, 13
30.9, 2.897, 100
36.7, 2.448, 62
48.7, 1.870, 18
50.8, 1.796, 32
62.5, 1.486, 22
64.3, 1.448, 12
66.1, 1.413, 14
76.4, 1.246, 15

Crystal structure
```
La3PmAs3
1.0
9.1598 0.0000 0.0000
0.0000 9.1598 0.0000
0.0000 0.0000 9.1598
La Pm As
12 4 12
direct
0.0665 0.4335 0.5665 La
0.1824 0.1824 0.1824 La
0.1819 0.8181 0.3181 La
0.3181 0.1819 0.8181 La
0.3176 0.8176 0.6824 La
0.4335 0.5665 0.0665 La
0.5665 0.0665 0.4335 La
0.6824 0.3176 0.8176 La
0.6819 0.6819 0.6819 La
0.8181 0.3181 0.1819 La
0.8176 0.6824 0.3176 La
0.9335 0.9335 0.9335 La
0.0661 0.5661 0.9339 Pm
0.4339 0.4339 0.4339 Pm
0.5661 0.9339 0.0661 Pm
0.9339 0.0661 0.5661 Pm
0.0007 0.2526 0.8720 As
0.1280 0.5007 0.2474 As
0.2474 0.1280 0.5007 As
0.2526 0.8720 0.0007 As
0.3720 0.4993 0.7474 As
0.4993 0.7474 0.3720 As
0.5007 0.2474 0.1280 As
0.6280 0.9993 0.7526 As
0.7474 0.3720 0.4993 As
0.7526 0.6280 0.9993 As
0.8720 0.0007 0.2526 As
0.9993 0.7526 0.6280 As
```

---

What is the formula in the fifth record?
Na2In2Br7